# 1
# CaB8H4O15
Theoretical powder diffractogram, λ = 1.5418 Å (Cu Kα). Input: a cell relaxed with PBE.

Structural model:
abc: 7.5977 8.4078 9.8322
angles: 90.00 108.02 90.00
Sites, in units of the cell vectors:
Ca (0.1072, 0.0000, 0.2806)
Ca (0.8928, 0.5000, 0.7194)
B (0.0150, 0.6743, 0.4874)
B (0.0340, 0.6641, 0.0187)
B (0.0841, 0.9139, 0.9038)
B (0.0897, 0.9164, 0.6426)
B (0.1259, 0.6242, 0.2816)
B (0.3841, 0.9210, 0.8494)
B (0.4038, 0.5148, 0.7294)
B (0.4124, 0.5277, 0.4772)
B (0.5876, 0.0277, 0.5228)
B (0.5962, 0.0148, 0.2706)
B (0.6159, 0.4210, 0.1506)
B (0.8741, 0.1242, 0.7184)
B (0.9103, 0.4164, 0.3574)
B (0.9159, 0.4139, 0.0962)
B (0.9660, 0.1641, 0.9813)
B (0.9850, 0.1743, 0.5126)
H (0.3285, 0.4721, 0.9062)
H (0.3668, 0.9827, 0.1035)
H (0.3685, 0.9553, 0.5751)
H (0.3742, 0.4710, 0.1771)
H (0.6258, 0.9710, 0.8229)
H (0.6315, 0.4553, 0.4249)
H (0.6332, 0.4827, 0.8965)
H (0.6715, 0.9721, 0.0938)
O (0.0042, 0.7610, 0.6023)
O (0.0144, 0.7519, 0.8978)
O (0.0142, 0.9876, 0.7557)
O (0.0276, 0.0096, 0.0068)
O (0.0561, 0.0228, 0.5204)
O (0.0802, 0.7334, 0.3815)
O (0.1096, 0.7208, 0.1549)
O (0.2757, 0.4862, 0.8012)
O (0.2893, 0.9163, 0.9473)
O (0.2939, 0.9035, 0.7062)
O (0.3129, 0.5562, 0.3372)
O (0.3314, 0.5426, 0.5846)
O (0.4054, 0.9800, 0.4875)
O (0.4076, 0.0180, 0.2070)
O (0.4271, 0.4459, 0.0994)
O (0.5729, 0.9459, 0.9006)
O (0.5924, 0.5180, 0.7930)
O (0.5946, 0.4800, 0.5125)
O (0.6686, 0.0426, 0.4154)
O (0.6871, 0.0562, 0.6628)
O (0.7061, 0.4035, 0.2938)
O (0.7107, 0.4163, 0.0527)
O (0.7243, 0.9862, 0.1988)
O (0.8904, 0.2208, 0.8451)
O (0.9198, 0.2334, 0.6185)
O (0.9439, 0.5228, 0.4796)
O (0.9724, 0.5096, 0.9932)
O (0.9856, 0.2519, 0.1022)
O (0.9858, 0.4876, 0.2443)
O (0.9958, 0.2610, 0.3977)

Largest 10 diffraction maxima, low angle first, 5 to 70 degrees two-theta:
2θ/deg, I_rel
12.25, 1000
16.17, 564
21.13, 880
24.50, 221
24.64, 187
24.87, 168
26.86, 198
33.38, 232
42.61, 191
43.01, 197

# 2
# CaBHO3
Theoretical powder diffractogram, λ = 1.5418 Å (Cu Kα). Input: a cell relaxed with PBE.

Structural model:
abc: 3.5817 5.4581 6.8761
angles: 90.00 92.31 90.00
Sites, in units of the cell vectors:
Ca (0.2483, 0.0000, 0.1421)
Ca (0.7517, 0.5000, 0.8579)
B (0.2741, 0.0047, 0.7278)
B (0.7259, 0.5047, 0.2722)
H (0.4578, 0.1815, 0.5023)
H (0.5422, 0.6815, 0.4977)
O (0.2385, 0.7814, 0.8136)
O (0.2453, 0.2194, 0.8300)
O (0.3710, 0.0142, 0.5283)
O (0.6290, 0.5142, 0.4717)
O (0.7547, 0.7194, 0.1700)
O (0.7615, 0.2814, 0.1864)

Largest 10 diffraction maxima, low angle first, 5 to 70 degrees two-theta:
2θ/deg, I_rel
12.89, 372
20.78, 106
29.85, 1000
30.75, 372
39.34, 307
43.42, 240
49.10, 174
49.28, 135
50.28, 244
51.03, 208

# 3
# CaB2H10O9
Theoretical powder diffractogram, λ = 1.5418 Å (Cu Kα). Input: a cell relaxed with PBE.

Structural model:
abc: 6.5290 7.8264 8.1325
angles: 69.07 68.43 73.79
Sites, in units of the cell vectors:
Ca (0.0954, 0.0026, 0.2360)
Ca (0.9046, 0.9974, 0.7640)
B (0.1243, 0.3207, 0.8419)
B (0.3498, 0.9975, 0.7926)
B (0.6502, 0.0025, 0.2074)
B (0.8757, 0.6793, 0.1581)
H (0.0907, 0.6736, 0.6042)
H (0.1487, 0.2528, 0.4225)
H (0.1760, 0.4005, 0.0400)
H (0.2098, 0.6947, 0.0489)
H (0.2623, 0.4915, 0.2742)
H (0.3051, 0.4305, 0.4774)
H (0.3782, 0.4804, 0.6926)
H (0.3980, 0.9247, 0.4427)
H (0.4108, 0.7686, 0.7003)
H (0.4931, 0.1776, 0.0073)
H (0.5069, 0.8224, 0.9927)
H (0.5892, 0.2314, 0.2997)
H (0.6020, 0.0753, 0.5573)
H (0.6218, 0.5196, 0.3074)
H (0.6949, 0.5695, 0.5226)
H (0.7377, 0.5085, 0.7258)
H (0.7902, 0.3053, 0.9511)
H (0.8240, 0.5995, 0.9600)
H (0.8513, 0.7472, 0.5775)
H (0.9093, 0.3264, 0.3958)
O (0.0099, 0.2092, 0.4436)
O (0.1180, 0.5946, 0.1207)
O (0.1533, 0.1451, 0.8057)
O (0.2055, 0.2851, 0.0030)
O (0.2404, 0.4658, 0.6800)
O (0.3025, 0.8860, 0.6976)
O (0.3541, 0.8811, 0.9841)
O (0.3604, 0.4078, 0.3524)
O (0.4317, 0.9416, 0.3096)
O (0.5683, 0.0584, 0.6904)
O (0.6396, 0.5922, 0.6476)
O (0.6459, 0.1189, 0.0159)
O (0.6975, 0.1140, 0.3024)
O (0.7597, 0.5342, 0.3200)
O (0.7945, 0.7149, 0.9970)
O (0.8467, 0.8549, 0.1943)
O (0.8820, 0.4054, 0.8793)
O (0.9901, 0.7908, 0.5564)

Largest 10 diffraction maxima, low angle first, 5 to 70 degrees two-theta:
2θ/deg, I_rel
12.28, 1000
14.81, 306
24.56, 224
24.72, 211
27.61, 287
29.56, 530
30.61, 348
35.64, 318
43.29, 227
47.04, 201

# 4
# CaB2H12O10
Theoretical powder diffractogram, λ = 1.5418 Å (Cu Kα). Input: a cell relaxed with PBE.

Structural model:
abc: 8.0105 6.5879 8.0256
angles: 90.00 104.30 90.00
Sites, in units of the cell vectors:
Ca (0.0000, 0.0301, 0.2500)
Ca (0.0000, 0.9699, 0.7500)
B (0.1838, 0.2749, 0.5680)
B (0.1838, 0.7251, 0.0680)
B (0.8162, 0.2749, 0.9320)
B (0.8162, 0.7251, 0.4320)
H (0.0825, 0.3405, 0.0134)
H (0.0825, 0.6595, 0.5134)
H (0.2158, 0.4766, 0.2437)
H (0.2158, 0.5234, 0.7437)
H (0.3378, 0.1657, 0.8029)
H (0.3378, 0.8343, 0.3029)
H (0.3534, 0.2328, 0.4155)
H (0.3534, 0.7672, 0.9155)
H (0.3672, 0.3335, 0.0739)
H (0.3672, 0.6665, 0.5739)
H (0.3781, 0.0958, 0.0958)
H (0.3781, 0.9042, 0.5958)
H (0.6219, 0.0958, 0.4042)
H (0.6219, 0.9042, 0.9042)
H (0.6328, 0.3335, 0.4261)
H (0.6328, 0.6665, 0.9261)
H (0.6466, 0.2328, 0.0845)
H (0.6466, 0.7672, 0.5845)
H (0.6622, 0.1657, 0.6971)
H (0.6622, 0.8343, 0.1971)
H (0.7842, 0.4766, 0.2563)
H (0.7842, 0.5234, 0.7563)
H (0.9175, 0.3405, 0.4866)
H (0.9175, 0.6595, 0.9866)
O (0.0045, 0.2255, 0.9658)
O (0.0045, 0.7745, 0.4658)
O (0.2258, 0.4848, 0.6279)
O (0.2258, 0.5152, 0.1279)
O (0.2273, 0.2536, 0.4002)
O (0.2273, 0.7464, 0.9002)
O (0.2696, 0.1158, 0.6904)
O (0.2696, 0.8842, 0.1904)
O (0.4226, 0.2106, 0.0389)
O (0.4226, 0.7894, 0.5389)
O (0.5774, 0.2106, 0.4611)
O (0.5774, 0.7894, 0.9611)
O (0.7304, 0.1158, 0.8096)
O (0.7304, 0.8842, 0.3096)
O (0.7727, 0.2536, 0.0998)
O (0.7727, 0.7464, 0.5998)
O (0.7742, 0.4848, 0.8721)
O (0.7742, 0.5152, 0.3721)
O (0.9955, 0.2255, 0.5342)
O (0.9955, 0.7745, 0.0342)

Largest 10 diffraction maxima, low angle first, 5 to 70 degrees two-theta:
2θ/deg, I_rel
11.40, 909
13.44, 340
22.56, 192
26.66, 1000
35.73, 587
36.40, 503
37.33, 186
39.42, 335
46.16, 202
46.81, 226

# 5
# CaB2H10O
Theoretical powder diffractogram, λ = 1.5418 Å (Cu Kα). Input: a cell relaxed with PBE.

Structural model:
abc: 8.0525 6.0193 11.6596
angles: 90.00 90.00 90.00
Sites, in units of the cell vectors:
Ca (0.1494, 0.2500, 0.0853)
Ca (0.3506, 0.7500, 0.5853)
Ca (0.6494, 0.2500, 0.4147)
Ca (0.8506, 0.7500, 0.9147)
B (0.0816, 0.7500, 0.7316)
B (0.1226, 0.7500, 0.0747)
B (0.3774, 0.2500, 0.5747)
B (0.4184, 0.2500, 0.2316)
B (0.5816, 0.7500, 0.7684)
B (0.6226, 0.7500, 0.4253)
B (0.8774, 0.2500, 0.9253)
B (0.9184, 0.2500, 0.2684)
H (0.0264, 0.2500, 0.9048)
H (0.0693, 0.2500, 0.2842)
H (0.1199, 0.7500, 0.8330)
H (0.1216, 0.6209, 0.3777)
H (0.1216, 0.8791, 0.3777)
H (0.1385, 0.5805, 0.6882)
H (0.1385, 0.9195, 0.6882)
H (0.1607, 0.5936, 0.0124)
H (0.1607, 0.9064, 0.0124)
H (0.1992, 0.7500, 0.1641)
H (0.3008, 0.2500, 0.6641)
H (0.3393, 0.0936, 0.5124)
H (0.3393, 0.4064, 0.5124)
H (0.3615, 0.0805, 0.1882)
H (0.3615, 0.4195, 0.1882)
H (0.3784, 0.1209, 0.8777)
H (0.3784, 0.3791, 0.8777)
H (0.3801, 0.2500, 0.3330)
H (0.4307, 0.7500, 0.7842)
H (0.4736, 0.7500, 0.4048)
H (0.5264, 0.2500, 0.5952)
H (0.5693, 0.2500, 0.2158)
H (0.6199, 0.7500, 0.6670)
H (0.6216, 0.6209, 0.1223)
H (0.6216, 0.8791, 0.1223)
H (0.6385, 0.5805, 0.8118)
H (0.6385, 0.9195, 0.8118)
H (0.6607, 0.5936, 0.4876)
H (0.6607, 0.9064, 0.4876)
H (0.6992, 0.7500, 0.3359)
H (0.8008, 0.2500, 0.8359)
H (0.8393, 0.0936, 0.9876)
H (0.8393, 0.4064, 0.9876)
H (0.8615, 0.0805, 0.3118)
H (0.8615, 0.4195, 0.3118)
H (0.8784, 0.1209, 0.6223)
H (0.8784, 0.3791, 0.6223)
H (0.8801, 0.2500, 0.1670)
H (0.9307, 0.7500, 0.7158)
H (0.9736, 0.7500, 0.0952)
O (0.1496, 0.7500, 0.4249)
O (0.3504, 0.2500, 0.9249)
O (0.6496, 0.7500, 0.0751)
O (0.8504, 0.2500, 0.5751)

Largest 10 diffraction maxima, low angle first, 5 to 70 degrees two-theta:
2θ/deg, I_rel
13.36, 392
15.20, 243
16.57, 244
18.79, 288
19.93, 1000
23.95, 252
29.68, 457
32.01, 634
39.89, 241
44.21, 389